No. 1
The following is a simulated XRD peak list of Tl2PtAu. It was derived from a crystal structure in Alexandria, relaxed with PBE, using a wavelength of 1.5418 Å.
Intensities are scaled so that the largest is 100.

Largest 8 diffraction maxima, low angle first, 5 to 70 degrees two-theta:
- (0 0 1), 2θ 11.55, 7.663 Å, I = 29.8
- (0 1 2), 2θ 32.74, 2.736 Å, I = 97.4
- (1 1 0), 2θ 36.92, 2.435 Å, I = 100.0
- (1 0 2), 2θ 37.21, 2.416 Å, I = 69.3
- (0 1 3), 2θ 42.27, 2.138 Å, I = 25.4
- (0 2 0), 2θ 46.49, 1.953 Å, I = 26.4
- (1 2 2), 2θ 60.99, 1.519 Å, I = 33.6
- (2 1 2), 2θ 69.48, 1.353 Å, I = 22.9

Crystal structure
```
data_Tl2PtAu
_space_group_name_H-M_alt 'P m m 2'
_space_group_IT_number 25
_space_group_name_Hall 'P 2 -2'
_cell_length_a 3.113
_cell_length_b 3.907
_cell_length_c 7.663
_cell_angle_alpha 90.00
_cell_angle_beta 90.00
_cell_angle_gamma 90.00
loop_
_atom_site_label
_atom_site_type_symbol
_atom_site_fract_x
_atom_site_fract_y
_atom_site_fract_z
Tl1 Tl 0.000 0.000 0.000
Tl2 Tl 0.500 0.500 0.359
Pt1 Pt 0.500 0.500 0.781
Au1 Au 0.000 0.000 0.598
```

***

No. 2
The following is a simulated XRD peak list of CsReS4. It was derived from a crystal structure in Alexandria, relaxed with PBE, using a wavelength of 1.5418 Å.
Intensities are scaled so that the largest is 100.

Largest 8 diffraction maxima, low angle first, 5 to 70 degrees two-theta:
- (2 0 0), 2θ 11.50, 7.692 Å, I = 38.6
- (1 1 0), 2θ 13.26, 6.678 Å, I = 100.0
- (3 1 0), 2θ 21.07, 4.217 Å, I = 65.3
- (0 2 0), 2θ 24.02, 3.705 Å, I = 52.5
- (6 0 -1), 2θ 35.80, 2.508 Å, I = 19.9
- (0 2 2), 2θ 38.06, 2.364 Å, I = 35.7
- (3 1 2), 2θ 38.41, 2.344 Å, I = 21.0
- (6 2 1), 2θ 47.32, 1.921 Å, I = 16.7

Crystal structure
```
data_CsReS4
_space_group_name_H-M_alt 'C 1 2/m 1'
_space_group_IT_number 12
_space_group_name_Hall '-C 2y'
_cell_length_a 15.573
_cell_length_b 7.413
_cell_length_c 6.216
_cell_angle_alpha 90.00
_cell_angle_beta 98.92
_cell_angle_gamma 90.00
loop_
_atom_site_label
_atom_site_type_symbol
_atom_site_fract_x
_atom_site_fract_y
_atom_site_fract_z
Cs1 Cs 0.196 0.000 0.206
Re1 Re 0.027 0.500 0.232
S1 S 0.000 0.253 0.000
S2 S 0.068 0.309 0.571
S3 S 0.174 0.500 0.234
```